This entry pairs a crystal structure of Zr3Bi5 with its computed X-ray diffraction stick pattern. Radiation: λ = 1.5418 Å (Cu Kα). Structure: the GGA-PBE geometry in Alexandria.
Kinematic intensities with the Lorentz-polarization factor, no thermal factor.

Main lines, by angle (5° ≤ 2θ ≤ 70°):
d (Å)	I/Imax	h k l
3.523	15	2 0 0
2.959	87	2 1 2
2.836	100	1 1 5
2.763	53	2 1 3
2.490	36	2 2 0
2.465	14	2 2 1
2.174	47	3 0 3
1.779	24	2 1 8
1.676	14	4 1 2
1.549	18	2 0 10

Structure:
Cell: 7.045 7.045 17.247 Å, 90.00 90.00 90.00°
Fractional coordinates of all 32 atoms:
Zr 0.000 0.000 0.000
Zr 0.000 0.000 0.325
Zr 0.000 0.000 0.675
Zr 0.000 0.500 0.250
Zr 0.000 0.500 0.588
Zr 0.000 0.500 0.912
Zr 0.500 0.000 0.088
Zr 0.500 0.000 0.412
Zr 0.500 0.000 0.750
Zr 0.500 0.500 0.175
Zr 0.500 0.500 0.500
Zr 0.500 0.500 0.825
Bi 0.155 0.268 0.448
Bi 0.157 0.805 0.151
Bi 0.169 0.669 0.750
Bi 0.195 0.157 0.849
Bi 0.232 0.345 0.052
Bi 0.268 0.845 0.552
Bi 0.305 0.657 0.349
Bi 0.331 0.169 0.250
Bi 0.343 0.305 0.651
Bi 0.345 0.768 0.948
Bi 0.655 0.232 0.948
Bi 0.657 0.695 0.651
Bi 0.669 0.831 0.250
Bi 0.695 0.343 0.349
Bi 0.732 0.155 0.552
Bi 0.768 0.655 0.052
Bi 0.805 0.843 0.849
Bi 0.831 0.331 0.750
Bi 0.843 0.195 0.151
Bi 0.845 0.732 0.448